Li2Ca2BiO6: calculated XRD peak list (λ = 1.5418 Å (Cu Kα)), based on the GGA-PBE geometry in Alexandria.

Largest 8 diffraction maxima, in order of rising 2θ, 2θ from 10° to 90°:
d_spacing  two_theta  intensity  index
5.295  16.74  36.9  0 2 0
5.068  17.50  100.0  0 0 1
4.977  17.82  73.0  1 1 0
4.091  21.72  32.0  1 1 -1
3.661  24.31  28.6  0 2 1
2.992  29.86  42.6  1 3 0
2.821  31.72  39.0  2 0 -1
2.424  37.09  52.5  1 3 1

Structure:
a b c (Å): 5.873 10.590 5.278
angles (deg): 90.00 106.24 90.00
Space group C2/m (No. 12)
Unique sites:
Li: 0.000 0.128 0.000 x4
Ca: 0.000 0.340 0.500 x4
Bi: 0.000 0.000 0.500 x2
O: 0.188 0.158 0.724 x8
O: 0.234 0.000 0.261 x4

***

SmSnPd2: calculated XRD peak list (λ = 1.5418 Å (Cu Kα)), based on the GGA-PBE geometry in Alexandria.

Largest 8 diffraction maxima, in order of rising 2θ, 2θ from 10° to 90°:
d_spacing  two_theta  intensity  index
2.966  30.13  42.2  2 1 1
2.676  33.49  96.3  1 1 2
2.626  34.14  72.0  2 2 0
2.419  37.16  61.4  2 2 1
2.410  37.31  25.0  2 0 2
2.356  38.19  100.0  3 0 1
2.253  40.01  38.3  1 2 2
2.159  41.85  42.6  1 3 1

Structure:
a b c (Å): 7.628 7.242 6.220
angles (deg): 90.00 90.00 90.00
Space group Pnma (No. 62)
Unique sites:
Sm: 0.030 0.250 0.170 x4
Sn: 0.115 0.750 0.331 x4
Pd: 0.187 0.050 0.566 x8

***

Cs3Sr2Br3Cl4: calculated XRD peak list (λ = 1.5418 Å (Cu Kα)), based on the GGA-PBE geometry in Alexandria.

Largest 8 diffraction maxima, in order of rising 2θ, 2θ from 10° to 90°:
d_spacing  two_theta  intensity  index
4.139  21.47  87.0  1 0 1
4.103  21.66  79.5  0 5 1
3.166  28.19  100.0  1 6 1
3.002  29.76  75.9  2 0 0
2.949  30.31  57.6  0 10 0
2.856  31.32  65.9  0 0 2
2.104  42.99  44.0  2 10 0
2.069  43.75  50.5  2 0 2

Structure:
a b c (Å): 6.005 29.491 5.712
angles (deg): 90.00 90.00 90.00
Space group Imm2 (No. 44)
Unique sites:
Cs: 0.000 0.000 0.000 x2
Cs: 0.000 0.186 0.993 x4
Sr: 0.000 0.395 0.000 x4
Br: 0.000 0.095 0.498 x4
Br: 0.000 0.500 0.001 x2
Cl: 0.000 0.300 0.008 x4
Cl: 0.000 0.398 0.500 x4

***

LiAl2Si: calculated XRD peak list (λ = 1.5418 Å (Cu Kα)), based on the GGA-PBE geometry in Alexandria.

Largest 8 diffraction maxima, in order of rising 2θ, 2θ from 10° to 90°:
d_spacing  two_theta  intensity  index
3.488  25.54  42.7  1 1 1
2.283  39.46  100.0  0 2 2
2.264  39.81  97.5  2 0 2
2.074  43.64  37.1  0 0 4
1.922  47.29  58.4  2 2 0
1.410  66.29  42.2  2 2 4
1.171  82.39  22.8  2 4 2
1.163  83.05  23.8  4 2 2

Structure:
a b c (Å): 5.405 5.470 8.297
angles (deg): 90.00 90.00 90.00
Space group F222 (No. 22)
Unique sites:
Li: 0.000 0.000 0.000 x4
Al: 0.000 0.000 0.500 x4
Al: 0.250 0.250 0.750 x4
Si: 0.250 0.250 0.250 x4

***

Tb2YHo4Tm2: calculated XRD peak list (λ = 1.5418 Å (Cu Kα)), based on the GGA-PBE geometry in Alexandria.

Largest 8 diffraction maxima, in order of rising 2θ, 2θ from 10° to 90°:
d_spacing  two_theta  intensity  index
3.066  29.13  33.9  6 0 -1
3.001  29.77  20.9  6 0 -2
2.836  31.55  50.3  0 0 3
2.780  32.20  100.0  3 1 -2
2.642  33.93  87.7  3 1 1
1.783  51.24  38.9  0 2 0
1.657  55.46  21.3  3 1 -5
1.509  61.43  45.1  9 1 1

Structure:
a b c (Å): 18.519 3.567 9.449
angles (deg): 90.00 115.78 90.00
Space group C2/m (No. 12)
Unique sites:
Tb: 0.148 0.000 0.167 x4
Y: 0.000 0.000 0.500 x2
Ho: 0.019 0.500 0.834 x4
Ho: 0.185 0.000 0.834 x4
Tm: 0.167 0.500 0.501 x4

***

Rb3HgP2O8: calculated XRD peak list (λ = 1.5418 Å (Cu Kα)), based on the GGA-PBE geometry in Alexandria.

Largest 8 diffraction maxima, in order of rising 2θ, 2θ from 10° to 90°:
d_spacing  two_theta  intensity  index
7.967  11.11  26.7  0 0 1
5.099  17.39  23.3  1 0 0
4.295  20.68  18.2  0 1 1
3.139  28.43  100.0  0 1 2
2.944  30.36  79.4  1 1 0
2.147  42.08  44.2  2 0 2
1.735  52.77  32.3  1 2 2
1.650  55.72  19.9  1 1 4

Structure:
a b c (Å): 5.8879 5.8879 7.9671
angles (deg): 90.00 90.00 120.00
Space group P-3m1 (No. 164)
Unique sites:
Rb: 0.0000 0.0000 0.0000 x1
Rb: 0.3333 0.6667 0.7110 x2
Hg: 0.0000 0.0000 0.5000 x1
P: 0.3333 0.6667 0.2582 x2
O: 0.1876 0.3751 0.3177 x6
O: 0.3333 0.6667 0.0642 x2

***

Sr2SnCl6: calculated XRD peak list (λ = 1.5418 Å (Cu Kα)), based on the GGA-PBE geometry in Alexandria.

Largest 8 diffraction maxima, in order of rising 2θ, 2θ from 10° to 90°:
d_spacing  two_theta  intensity  index
4.765  18.62  100.0  1 1 0
3.723  23.90  50.9  1 0 3
3.259  27.37  29.2  1 1 3
2.498  35.95  91.3  2 1 3
2.383  37.76  28.5  2 2 0
2.022  44.81  20.3  1 1 6
2.007  45.18  43.1  3 0 3
1.630  56.47  16.9  2 2 6

Structure:
a b c (Å): 6.739 6.739 13.402
angles (deg): 90.00 90.00 90.00
Space group P4_2/mnm (No. 136)
Unique sites:
Sr: 0.000 0.000 0.167 x4
Sn: 0.000 0.000 0.500 x2
Cl: 0.194 0.194 0.335 x8
Cl: 0.198 0.198 0.000 x4

***

Ho2Cu3Ag: calculated XRD peak list (λ = 1.5418 Å (Cu Kα)), based on the GGA-PBE geometry in Alexandria.

Largest 8 diffraction maxima, in order of rising 2θ, 2θ from 10° to 90°:
d_spacing  two_theta  intensity  index
3.768  23.61  10.2  0 2 2
2.573  34.88  100.0  2 2 2
2.183  41.35  36.4  0 2 6
2.172  41.59  17.9  0 4 0
1.758  52.03  9.2  4 0 0
1.668  55.07  8.9  2 0 8
1.661  55.32  17.3  2 4 4
1.369  68.54  15.5  4 2 6

Structure:
a b c (Å): 7.031 8.686 15.155
angles (deg): 90.00 90.00 90.00
Space group Fmmm (No. 69)
Unique sites:
Ho: 0.247 0.000 0.000 x8
Ho: 0.250 0.250 0.250 x8
Cu: 0.000 0.000 0.162 x8
Cu: 0.000 0.242 0.081 x16
Ag: 0.000 0.000 0.333 x8